Tb3Fe2: simulated X-ray diffraction stick pattern (Cu Kα (weighted mean of Kα1 and Kα2)), based on a cell relaxed with GGA-PBE.

Principal peaks in the range 5 to 70 degrees two-theta, by angle:
2θ 28.9, I = 22; 2θ 30.5, I = 100; 2θ 32.5, I = 26; 2θ 36.7, I = 10; 2θ 39.8, I = 31; 2θ 41.7, I = 11; 2θ 47.3, I = 23; 2θ 52.3, I = 22; 2θ 57.3, I = 9; 2θ 57.8, I = 9

Cell lengths 7.270, 7.270, 7.270 Å; angles 54.55, 54.55, 54.55 degrees
Fractional positions:
Tb: 0.135 0.750 0.365
Tb: 0.250 0.635 0.865
Tb: 0.365 0.135 0.750
Tb: 0.635 0.865 0.250
Tb: 0.750 0.365 0.135
Tb: 0.865 0.250 0.635
Fe: 0.190 0.190 0.190
Fe: 0.310 0.310 0.310
Fe: 0.690 0.690 0.690
Fe: 0.810 0.810 0.810

=====

TeMoSeS2Br: simulated X-ray diffraction stick pattern (Cu Kα (weighted mean of Kα1 and Kα2)), based on a cell relaxed with GGA-PBE.

Principal peaks in the range 5 to 70 degrees two-theta, by angle:
2θ 12.3, I = 27; 2θ 13.3, I = 100; 2θ 14.0, I = 31; 2θ 24.4, I = 17; 2θ 28.4, I = 42; 2θ 32.7, I = 30; 2θ 33.7, I = 18; 2θ 36.3, I = 20; 2θ 37.2, I = 20; 2θ 46.9, I = 19

Cell lengths 6.414, 7.425, 8.446 Å; angles 115.89, 101.95, 101.35 degrees
Fractional positions:
Te: 0.125 0.178 0.309
Te: 0.875 0.822 0.691
Mo: 0.282 0.000 0.000
Mo: 0.718 0.000 0.000
Se: 0.033 0.222 0.936
Se: 0.967 0.778 0.064
S: 0.395 0.686 0.874
S: 0.484 0.129 0.837
S: 0.516 0.871 0.163
S: 0.605 0.314 0.126
Br: 0.262 0.627 0.440
Br: 0.738 0.373 0.560

=====

SmGdCo2Ge4: simulated X-ray diffraction stick pattern (Cu Kα (weighted mean of Kα1 and Kα2)), based on a cell relaxed with GGA-PBE.

Principal peaks in the range 5 to 70 degrees two-theta, by angle:
2θ 30.6, I = 16; 2θ 34.3, I = 100; 2θ 38.9, I = 23; 2θ 43.1, I = 21; 2θ 43.2, I = 21; 2θ 48.8, I = 8; 2θ 54.1, I = 10; 2θ 56.3, I = 12; 2θ 59.4, I = 13; 2θ 62.6, I = 13

Cell lengths 4.191, 4.201, 16.674 Å; angles 90.00, 90.00, 90.00 degrees
Fractional positions:
Sm: 0.000 0.000 0.000
Sm: 0.000 0.500 0.500
Gd: 0.500 0.000 0.782
Gd: 0.500 0.500 0.282
Co: 0.000 0.000 0.210
Co: 0.000 0.500 0.710
Co: 0.500 0.000 0.573
Co: 0.500 0.500 0.073
Ge: 0.000 0.000 0.346
Ge: 0.000 0.000 0.642
Ge: 0.000 0.500 0.142
Ge: 0.000 0.500 0.846
Ge: 0.500 0.000 0.142
Ge: 0.500 0.000 0.436
Ge: 0.500 0.500 0.642
Ge: 0.500 0.500 0.936

=====

DyTm6Fe2Te2: simulated X-ray diffraction stick pattern (Cu Kα (weighted mean of Kα1 and Kα2)), based on a cell relaxed with GGA-PBE.

Principal peaks in the range 5 to 70 degrees two-theta, by angle:
2θ 29.3, I = 40; 2θ 30.6, I = 22; 2θ 31.0, I = 52; 2θ 33.8, I = 84; 2θ 34.6, I = 100; 2θ 35.0, I = 27; 2θ 35.2, I = 54; 2θ 37.4, I = 22; 2θ 48.0, I = 30; 2θ 59.9, I = 33

Cell lengths 9.185, 9.185, 9.185 Å; angles 156.17, 66.37, 119.09 degrees
Fractional positions:
Dy: 0.000 0.000 0.000
Tm: 0.064 0.378 0.686
Tm: 0.081 0.730 0.351
Tm: 0.379 0.730 0.649
Tm: 0.447 0.581 0.866
Tm: 0.692 0.378 0.314
Tm: 0.715 0.581 0.134
Fe: 0.309 0.071 0.238
Fe: 0.833 0.071 0.762
Te: 0.336 0.336 0.000
Te: 0.733 0.233 0.500

=====

Ho2Fe12P7: simulated X-ray diffraction stick pattern (Cu Kα (weighted mean of Kα1 and Kα2)), based on a cell relaxed with GGA-PBE.

Principal peaks in the range 5 to 70 degrees two-theta, by angle:
2θ 27.2, I = 14; 2θ 30.5, I = 10; 2θ 34.7, I = 12; 2θ 39.6, I = 100; 2θ 40.3, I = 10; 2θ 42.1, I = 10; 2θ 49.3, I = 10; 2θ 50.4, I = 17; 2θ 54.3, I = 16; 2θ 57.8, I = 12

Cell lengths 8.945, 8.945, 3.623 Å; angles 90.00, 90.00, 120.00 degrees
Fractional positions:
Ho: 0.000 0.000 0.000
Ho: 0.333 0.667 0.500
Fe: 0.050 0.765 0.500
Fe: 0.094 0.389 0.000
Fe: 0.235 0.285 0.500
Fe: 0.294 0.906 0.000
Fe: 0.392 0.214 0.000
Fe: 0.546 0.117 0.500
Fe: 0.571 0.454 0.500
Fe: 0.611 0.706 0.000
Fe: 0.715 0.950 0.500
Fe: 0.786 0.178 0.000
Fe: 0.822 0.608 0.000
Fe: 0.883 0.429 0.500
P: 0.077 0.629 0.000
P: 0.265 0.044 0.500
P: 0.371 0.448 0.000
P: 0.552 0.923 0.000
P: 0.667 0.333 0.000
P: 0.779 0.735 0.500
P: 0.956 0.221 0.500

=====

DyTmSbCl2: simulated X-ray diffraction stick pattern (Cu Kα (weighted mean of Kα1 and Kα2)), based on a cell relaxed with GGA-PBE.

Principal peaks in the range 5 to 70 degrees two-theta, by angle:
2θ 8.5, I = 100; 2θ 26.4, I = 29; 2θ 30.4, I = 72; 2θ 36.1, I = 21; 2θ 43.0, I = 28; 2θ 44.1, I = 26; 2θ 44.9, I = 12; 2θ 50.7, I = 6; 2θ 54.5, I = 14; 2θ 63.2, I = 9

Cell lengths 4.111, 4.111, 10.436 Å; angles 90.00, 90.00, 120.00 degrees
Fractional positions:
Dy: 0.000 0.000 0.000
Tm: 0.333 0.667 0.339
Sb: 0.667 0.333 0.172
Cl: 0.000 0.000 0.483
Cl: 0.333 0.667 0.851

=====

NdHoZn2Sn2: simulated X-ray diffraction stick pattern (Cu Kα (weighted mean of Kα1 and Kα2)), based on a cell relaxed with GGA-PBE.

Principal peaks in the range 5 to 70 degrees two-theta, by angle:
2θ 22.6, I = 7; 2θ 28.2, I = 15; 2θ 31.9, I = 100; 2θ 39.6, I = 60; 2θ 45.4, I = 7; 2θ 46.0, I = 12; 2θ 51.7, I = 26; 2θ 61.8, I = 17; 2θ 62.3, I = 6; 2θ 67.1, I = 24

Cell lengths 4.551, 4.551, 15.965 Å; angles 90.00, 90.00, 120.00 degrees
Fractional positions:
Nd: 0.000 0.000 0.250
Nd: 0.000 0.000 0.750
Ho: 0.000 0.000 0.000
Ho: 0.000 0.000 0.500
Zn: 0.333 0.667 0.155
Zn: 0.333 0.667 0.345
Zn: 0.667 0.333 0.655
Zn: 0.667 0.333 0.845
Sn: 0.333 0.667 0.610
Sn: 0.333 0.667 0.890
Sn: 0.667 0.333 0.110
Sn: 0.667 0.333 0.390